For Na4YSi2SnPO12, a DFT-relaxed cell (PBE, the Materials Project) gives the computed XRD peak list in this record (CuKα).
No peak broadening, texture or thermal motion is included.

Top 12 peaks for 2θ = 10–90°, sorted by position:
d/Å	I (rel.)
6.576	15
4.674	100
4.636	23
3.288	21
2.970	36
2.949	34
2.934	33
2.696	64
2.002	17
1.981	20
1.766	14
1.597	15

Structural model:
Cell: 9.347 9.347 9.272 Å, 119.63 119.63 59.87°
Fractional positions:
Na1 0.059 0.941 0.500
Na2 0.194 0.431 0.985
Na3 0.311 0.826 0.247
Na4 0.431 0.194 0.485
Na5 0.564 0.710 0.004
Na6 0.710 0.564 0.504
Na7 0.826 0.311 0.747
Na8 0.941 0.059 0.000
Y1 0.163 0.670 0.799
Y2 0.670 0.163 0.299
Si1 0.075 0.267 0.502
Si2 0.267 0.075 0.002
Si3 0.765 0.862 0.500
Si4 0.862 0.765 0.000
Sn1 0.466 0.966 0.698
Sn2 0.966 0.466 0.198
P1 0.360 0.575 0.498
P2 0.575 0.360 0.998
O1 0.046 0.731 0.988
O2 0.050 0.295 0.325
O3 0.084 0.251 0.011
O4 0.106 0.432 0.676
O5 0.192 0.547 0.332
O6 0.244 0.906 0.990
O7 0.251 0.084 0.511
O8 0.295 0.050 0.825
O9 0.341 0.599 0.663
O10 0.371 0.743 0.508
O11 0.420 0.530 0.980
O12 0.432 0.106 0.176
O13 0.530 0.420 0.480
O14 0.547 0.192 0.832
O15 0.586 0.874 0.514
O16 0.599 0.341 0.163
O17 0.682 0.795 0.825
O18 0.731 0.046 0.488
O19 0.743 0.371 0.008
O20 0.795 0.682 0.325
O21 0.843 0.935 0.172
O22 0.874 0.586 0.014
O23 0.906 0.244 0.490
O24 0.935 0.843 0.672